Entry 1:
Theoretical PXRD pattern of V7MoW2 for Cu Kα (weighted mean of Kα1 and Kα2), from the PBE geometry in Alexandria.
Kinematic intensities with the Lorentz-polarization factor, no thermal factor.

Cell and atoms:
Cell: 8.721 8.721 8.721 Å, 90.00 90.00 90.00°
Space group Fm-3m (No. 225)
Asymmetric unit:
V 0.000 0.000 0.000 [4 per cell]
V 0.000 0.000 0.244 [24 per cell]
Mo 0.000 0.000 0.500 [4 per cell]
W 0.250 0.250 0.250 [8 per cell]

Peak list (10 most intense, 2θ from 10° to 80°, low angle first)
hkl, 2θ/deg, I/Imax
2 0 0, 20.4, 74
2 2 0, 29.0, 1000
2 2 2, 35.7, 607
4 0 0, 41.4, 737
4 2 0, 46.6, 49
4 2 2, 51.3, 415
4 4 0, 60.0, 470
6 2 0, 68.0, 184
6 2 2, 71.8, 219
4 4 4, 75.5, 155

---

Entry 2:
Theoretical PXRD pattern of Al2ZnCu9 for Cu Kα (weighted mean of Kα1 and Kα2), from the PBE geometry in Alexandria.
Kinematic intensities with the Lorentz-polarization factor, no thermal factor.

Cell and atoms:
Cell: 3.657 3.657 11.203 Å, 90.00 90.00 90.00°
Space group P4/mmm (No. 123)
Asymmetric unit:
Al 0.000 0.000 0.166 [2 per cell]
Zn 0.000 0.000 0.500 [1 per cell]
Cu 0.000 0.500 0.000 [2 per cell]
Cu 0.000 0.500 0.332 [4 per cell]
Cu 0.500 0.500 0.165 [2 per cell]
Cu 0.500 0.500 0.500 [1 per cell]

Peak list (10 most intense, 2θ from 10° to 80°, low angle first)
hkl, 2θ/deg, I/Imax
0 0 3, 23.8, 14
1 0 0, 24.3, 26
1 0 1, 25.6, 14
1 0 3, 34.3, 22
1 1 0, 34.7, 11
1 1 3, 42.5, 1000
0 0 6, 48.8, 164
2 0 0, 49.9, 306
2 0 6, 72.3, 184
2 2 0, 73.2, 89

---

Entry 3:
Theoretical PXRD pattern of Tb3Sm2Er7 for Cu Kα (weighted mean of Kα1 and Kα2), from the PBE geometry in Alexandria.
Kinematic intensities with the Lorentz-polarization factor, no thermal factor.

Cell and atoms:
Cell: 6.293 3.501 17.356 Å, 90.00 96.22 90.00°
Space group P2/m (No. 10)
Asymmetric unit:
Tb 0.000 0.000 0.000 [1 per cell]
Tb 0.049 0.500 0.658 [2 per cell]
Sm 0.440 0.000 0.326 [2 per cell]
Er 0.226 0.500 0.164 [2 per cell]
Er 0.245 0.000 0.501 [2 per cell]
Er 0.274 0.000 0.834 [2 per cell]
Er 0.500 0.500 0.000 [1 per cell]

Peak list (10 most intense, 2θ from 10° to 80°, low angle first)
hkl, 2θ/deg, I/Imax
1 1 1, 30.0, 330
0 0 6, 31.1, 1000
1 1 2, 31.6, 570
2 0 3, 34.1, 358
1 1 -4, 35.1, 434
1 1 -5, 38.3, 148
3 1 -1, 50.7, 204
0 2 0, 52.3, 130
2 0 -9, 53.3, 220
0 2 6, 62.1, 151